# 1
Diffraction record for Cu5TePd4. The X-ray diffraction stick pattern is calculated, not measured: it uses a PBE-relaxed structure and copper Kα.

Peak list (6 most intense, 10° ≤ 2θ ≤ 80°, in order of rising 2θ)
hkl 1 1 1, 2θ 25.9, intensity 14
hkl 3 1 1, 2θ 38.1, intensity 14
hkl 0 2 0, 2θ 42.0, intensity 100
hkl 1 1 3, 2θ 43.1, intensity 32
hkl 3 1 2, 2θ 44.1, intensity 18
hkl 3 3 -2, 2θ 76.7, intensity 14

Cell and atoms:
```
data_Cu5TePd4
_chemical_formula_sum 'Cu10 Te2 Pd8'
_cell_length_a 9.372
_cell_length_b 4.302
_cell_length_c 7.608
_cell_angle_alpha 90.00
_cell_angle_beta 93.65
_cell_angle_gamma 90.00
_space_group_name_H-M_alt 'C 1 2/m 1'
_space_group_IT_number 12
loop_
_space_group_symop_operation_xyz
'x,y,z'
'-x,-y,-z'
'-x,y,-z'
'x,-y,z'
'x+1/2,y+1/2,z'
'-x+1/2,-y+1/2,-z'
'-x+1/2,y+1/2,-z'
'x+1/2,-y+1/2,z'
loop_
_atom_site_label
_atom_site_type_symbol
_atom_site_fract_x
_atom_site_fract_y
_atom_site_fract_z
_atom_site_occupancy
Cu1 Cu 0.000 0.000 0.000 1
Cu2 Cu 0.189 0.500 0.437 1
Cu3 Cu 0.242 0.500 0.084 1
Te1 Te 0.000 0.000 0.500 1
Pd1 Pd 0.031 0.500 0.807 1
Pd2 Pd 0.185 0.000 0.249 1
```



# 2
Diffraction record for InH4NCl3. The X-ray diffraction stick pattern is calculated, not measured: it uses a PBE-relaxed structure and copper Kα.

Peak list (6 most intense, 10° ≤ 2θ ≤ 80°, in order of rising 2θ)
hkl 1 0 1, 2θ 13.8, intensity 100
hkl 0 0 2, 2θ 14.2, intensity 44
hkl -1 2 1, 2θ 26.6, intensity 13
hkl 1 2 1, 2θ 27.3, intensity 14
hkl 2 2 0, 2θ 33.9, intensity 15
hkl 2 -2 2, 2θ 35.9, intensity 13

Cell and atoms:
```
data_InH4NCl3
_chemical_formula_sum 'In4 H16 N4 Cl12'
_cell_length_a 7.476
_cell_length_b 7.749
_cell_length_c 12.463
_cell_angle_alpha 90.66
_cell_angle_beta 90.42
_cell_angle_gamma 91.74
_space_group_name_H-M_alt 'P 1'
_space_group_IT_number 1
loop_
_space_group_symop_operation_xyz
'x,y,z'
loop_
_atom_site_label
_atom_site_type_symbol
_atom_site_fract_x
_atom_site_fract_y
_atom_site_fract_z
_atom_site_occupancy
In1 In 0.000 0.000 0.000 1
In2 In 0.002 0.490 0.001 1
In3 In 0.489 0.008 0.488 1
In4 In 0.501 0.517 0.496 1
H1 H 0.046 0.194 0.267 1
H2 H 0.058 0.222 0.403 1
H3 H 0.135 0.663 0.667 1
H4 H 0.369 0.139 0.825 1
H5 H 0.437 0.717 0.092 1
H6 H 0.448 0.689 0.228 1
H7 H 0.521 0.985 0.801 1
H8 H 0.524 0.536 0.146 1
H9 H 0.559 0.188 0.755 1
H10 H 0.573 0.144 0.888 1
H11 H 0.641 0.726 0.156 1
H12 H 0.856 0.235 0.338 1
H13 H 0.934 0.683 0.601 1
H14 H 0.944 0.699 0.738 1
H15 H 0.956 0.043 0.347 1
H16 H 0.970 0.508 0.673 1
N1 N 0.505 0.115 0.817 1
N2 N 0.513 0.667 0.155 1
N3 N 0.979 0.174 0.340 1
N4 N 0.997 0.639 0.671 1
Cl1 Cl 0.083 0.192 0.840 1
Cl2 Cl 0.194 0.206 0.120 1
Cl3 Cl 0.228 0.321 0.537 1
Cl4 Cl 0.270 0.814 0.961 1
Cl5 Cl 0.302 0.699 0.376 1
Cl6 Cl 0.423 0.716 0.656 1
Cl7 Cl 0.586 0.337 0.333 1
Cl8 Cl 0.692 0.330 0.618 1
Cl9 Cl 0.729 0.193 0.035 1
Cl10 Cl 0.770 0.726 0.459 1
Cl11 Cl 0.803 0.803 0.879 1
Cl12 Cl 0.918 0.821 0.164 1
```



# 3
Diffraction record for La4CeSb5. The X-ray diffraction stick pattern is calculated, not measured: it uses a PBE-relaxed structure and copper Kα.

Peak list (6 most intense, 10° ≤ 2θ ≤ 80°, in order of rising 2θ)
hkl 1 1 0, 2θ 27.4, intensity 100
hkl 2 0 0, 2θ 39.1, intensity 77
hkl 2 0 10, 2θ 48.4, intensity 28
hkl 2 2 0, 2θ 56.5, intensity 13
hkl 3 1 0, 2θ 63.9, intensity 24
hkl 3 1 10, 2θ 70.9, intensity 26

Cell and atoms:
```
data_La4CeSb5
_chemical_formula_sum 'La8 Ce2 Sb10'
_cell_length_a 4.608
_cell_length_b 4.608
_cell_length_c 32.539
_cell_angle_alpha 90.00
_cell_angle_beta 90.00
_cell_angle_gamma 90.00
_space_group_name_H-M_alt 'I 4/m m m'
_space_group_IT_number 139
_space_group_name_Hall '-I 4 2'
loop_
_atom_site_label
_atom_site_type_symbol
_atom_site_fract_x
_atom_site_fract_y
_atom_site_fract_z
_atom_site_occupancy
La1 La 0.000 0.000 0.100 1
La2 La 0.000 0.000 0.300 1
Ce1 Ce 0.000 0.000 0.500 1
Sb1 Sb 0.000 0.000 0.000 1
Sb2 Sb 0.000 0.000 0.200 1
Sb3 Sb 0.000 0.000 0.402 1
```



# 4
Diffraction record for Cs2HSeI6. The X-ray diffraction stick pattern is calculated, not measured: it uses a PBE-relaxed structure and copper Kα.

Peak list (6 most intense, 10° ≤ 2θ ≤ 80°, in order of rising 2θ)
hkl 2 0 2, 2θ 26.7, intensity 100
hkl 0 0 4, 2θ 28.1, intensity 29
hkl 2 2 0, 2θ 32.2, intensity 43
hkl 2 2 4, 2θ 43.3, intensity 34
hkl 4 2 2, 2θ 54.1, intensity 25
hkl 4 0 4, 2θ 54.9, intensity 16

Cell and atoms:
```
data_Cs2HSeI6
_chemical_formula_sum 'Cs4 H2 Se2 I12'
_cell_length_a 7.867
_cell_length_b 7.867
_cell_length_c 12.695
_cell_angle_alpha 90.00
_cell_angle_beta 90.00
_cell_angle_gamma 90.00
_space_group_name_H-M_alt 'I 4/m m m'
_space_group_IT_number 139
_space_group_name_Hall '-I 4 2'
loop_
_atom_site_label
_atom_site_type_symbol
_atom_site_fract_x
_atom_site_fract_y
_atom_site_fract_z
_atom_site_occupancy
Cs1 Cs 0.000 0.500 0.250 1
H1 H 0.000 0.000 0.000 1
Se1 Se 0.000 0.000 0.500 1
I1 I 0.000 0.000 0.277 1
I2 I 0.235 0.235 0.000 1
```